1.
This entry pairs a crystal structure of ReNi3 with its theoretical powder XRD pattern. Radiation: λ = 1.5418 Å (Cu Kα). Structure: a PBE-relaxed structure.

Most intense lines, 10° ≤ 2θ ≤ 80°, in order of rising 2θ:
h k l  two_theta  intensity
0 0 1  20.4  33
2 0 0  21.3  29
2 0 -1  26.9  16
2 0 1  32.2  11
1 1 0  36.4  16
1 1 -1  41.1  11
1 1 1  43.1  100
4 0 0  43.4  98
3 1 -1  50.2  63
2 0 2  50.6  31
5 1 1  74.0  19
1 1 -3  74.1  19

```
data_ReNi3
_space_group_name_H-M_alt 'C 1 2/m 1'
_space_group_IT_number 12
_cell_length_a 8.4756
_cell_length_b 2.5832
_cell_length_c 4.4154
_cell_angle_alpha 90.00
_cell_angle_beta 100.03
_cell_angle_gamma 90.00
loop_
_space_group_symop_operation_xyz
'x,y,z'
'-x,-y,-z'
'-x,y,-z'
'x,-y,z'
'x+1/2,y+1/2,z'
'-x+1/2,-y+1/2,-z'
'-x+1/2,y+1/2,-z'
'x+1/2,-y+1/2,z'
loop_
_atom_site_label
_atom_site_fract_x
_atom_site_fract_y
_atom_site_fract_z
_atom_site_occupancy
Re1 0.0000 0.0000 0.0000 1
Ni1 0.0000 0.5000 0.5000 1
Ni2 0.2485 0.0000 0.7515 1
```

2.
This entry pairs a crystal structure of Re2Ni5Rh12 with its theoretical powder XRD pattern. Radiation: λ = 1.5418 Å (Cu Kα). Structure: a PBE-relaxed structure.

Most intense lines, 10° ≤ 2θ ≤ 80°, in order of rising 2θ:
h k l  two_theta  intensity
2 0 -2  23.8  30
4 0 -1  26.2  29
0 2 1  35.6  20
6 0 -1  38.9  30
4 0 2  39.4  24
6 0 0  40.0  19
2 0 3  40.5  35
0 2 2  41.2  19
2 2 -2  41.6  100
2 0 -4  46.0  40
4 2 1  46.5  77
6 0 -3  47.1  24

```
data_Re2Ni5Rh12
_space_group_name_H-M_alt 'C 1 2/m 1'
_space_group_IT_number 12
_cell_length_a 13.9161
_cell_length_b 5.3347
_cell_length_c 7.8982
_cell_angle_alpha 90.00
_cell_angle_beta 103.43
_cell_angle_gamma 90.00
loop_
_space_group_symop_operation_xyz
'x,y,z'
'-x,-y,-z'
'-x,y,-z'
'x,-y,z'
'x+1/2,y+1/2,z'
'-x+1/2,-y+1/2,-z'
'-x+1/2,y+1/2,-z'
'x+1/2,-y+1/2,z'
loop_
_atom_site_label
_atom_site_fract_x
_atom_site_fract_y
_atom_site_fract_z
_atom_site_occupancy
Re1 0.0000 0.2294 0.0000 1
Ni1 0.0000 0.5000 0.5000 1
Ni2 0.1301 0.0000 0.8777 1
Ni3 0.2104 0.0000 0.3994 1
Rh1 0.0262 0.0000 0.3331 1
Rh2 0.0778 0.5000 0.2620 1
Rh3 0.1417 0.2450 0.6094 1
Rh4 0.2057 0.2549 0.1291 1
```

3.
This entry pairs a crystal structure of ReNi3Rh with its theoretical powder XRD pattern. Radiation: λ = 1.5418 Å (Cu Kα). Structure: a PBE-relaxed structure.

Most intense lines, 10° ≤ 2θ ≤ 80°, in order of rising 2θ:
h k l  two_theta  intensity
0 0 1  14.5  88
2 1 0  39.6  33
1 0 2  40.0  23
1 1 -2  40.4  37
0 2 2  42.6  100
1 -1 1  45.0  65
2 0 -1  45.1  58
2 2 1  45.3  62
1 2 -1  45.4  57
1 1 3  46.1  60
1 0 -3  46.4  55
3 1 2  71.9  22

```
data_ReNi3Rh
_space_group_name_H-M_alt 'P -1'
_space_group_IT_number 2
_cell_length_a 4.5510
_cell_length_b 5.0028
_cell_length_c 6.5829
_cell_angle_alpha 70.65
_cell_angle_beta 89.71
_cell_angle_gamma 63.35
loop_
_space_group_symop_operation_xyz
'x,y,z'
'-x,-y,-z'
loop_
_atom_site_label
_atom_site_fract_x
_atom_site_fract_y
_atom_site_fract_z
_atom_site_occupancy
Re1 0.2255 0.1994 0.0531 1
Ni1 0.0331 0.6126 0.6395 1
Ni2 0.1627 0.0126 0.7443 1
Ni3 0.4295 0.8116 0.4475 1
Rh1 0.3739 0.5905 0.1612 1
```

4.
This entry pairs a crystal structure of ReNiRh with its theoretical powder XRD pattern. Radiation: λ = 1.5418 Å (Cu Kα). Structure: a PBE-relaxed structure.

Most intense lines, 10° ≤ 2θ ≤ 80°, in order of rising 2θ:
h k l  two_theta  intensity
0 0 2  22.2  15
1 1 1  30.5  19
0 2 0  39.0  24
2 0 0  41.9  27
1 1 3  44.5  100
2 0 2  47.9  4
1 2 2  50.3  3
2 2 0  58.5  15
1 2 4  65.3  4
0 0 6  70.5  5
0 3 3  70.7  11
3 1 3  78.3  19

```
data_ReNiRh
_space_group_name_H-M_alt 'A m a 2'
_space_group_IT_number 40
_cell_length_a 4.3152
_cell_length_b 4.6136
_cell_length_c 8.0156
_cell_angle_alpha 90.00
_cell_angle_beta 90.00
_cell_angle_gamma 90.00
loop_
_space_group_symop_operation_xyz
'x,y,z'
'-x,-y,z'
'-x+1/2,y,z'
'x+1/2,-y,z'
'x,y+1/2,z+1/2'
'-x,-y+1/2,z+1/2'
'-x+1/2,y+1/2,z+1/2'
'x+1/2,-y+1/2,z+1/2'
loop_
_atom_site_label
_atom_site_fract_x
_atom_site_fract_y
_atom_site_fract_z
_atom_site_occupancy
Re1 0.2500 0.1733 0.0000 1
Ni1 0.2500 0.1651 0.6577 1
Rh1 0.2500 0.1769 0.3241 1
```

5.
This entry pairs a crystal structure of ReNi2Ru2 with its theoretical powder XRD pattern. Radiation: λ = 1.5418 Å (Cu Kα). Structure: a PBE-relaxed structure.

Most intense lines, 10° ≤ 2θ ≤ 80°, in order of rising 2θ:
h k l  two_theta  intensity
1 1 0  18.4  17
1 1 1  37.1  31
2 2 0  37.3  39
2 0 1  41.7  83
3 1 0  41.9  100
2 1 1  43.9  86
3 1 1  53.7  20
4 2 0  60.7  14
4 1 1  65.6  13
0 0 2  66.8  14
3 3 1  67.2  23
4 4 0  79.4  34

```
data_ReNi2Ru2
_space_group_name_H-M_alt 'P 4/m b m'
_space_group_IT_number 127
_space_group_name_Hall '-P 4 2ab'
_cell_length_a 6.8195
_cell_length_b 6.8195
_cell_length_c 2.7992
_cell_angle_alpha 90.00
_cell_angle_beta 90.00
_cell_angle_gamma 90.00
loop_
_atom_site_label
_atom_site_fract_x
_atom_site_fract_y
_atom_site_fract_z
_atom_site_occupancy
Re1 0.0000 0.0000 0.0000 1
Ni1 0.1229 0.3771 0.0000 1
Ru1 0.1745 0.6745 0.5000 1
```

6.
This entry pairs a crystal structure of ReNiSb2 with its theoretical powder XRD pattern. Radiation: λ = 1.5418 Å (Cu Kα). Structure: a PBE-relaxed structure.

Most intense lines, 10° ≤ 2θ ≤ 80°, in order of rising 2θ:
h k l  two_theta  intensity
0 0 1  17.3  14
0 0 2  35.0  25
1 1 0  35.4  100
1 0 1  37.3  15
1 0 -2  37.5  15
0 1 2  41.5  36
1 1 1  43.5  28
1 1 -2  43.6  28
0 2 0  44.0  30
2 0 -1  54.1  16
0 2 2  57.4  12
2 2 -1  72.2  13

```
data_ReNiSb2
_space_group_name_H-M_alt 'P 1 m 1'
_space_group_IT_number 6
_cell_length_a 3.3885
_cell_length_b 4.1190
_cell_length_c 5.3925
_cell_angle_alpha 90.00
_cell_angle_beta 107.98
_cell_angle_gamma 90.00
loop_
_space_group_symop_operation_xyz
'x,y,z'
'x,-y,z'
loop_
_atom_site_label
_atom_site_fract_x
_atom_site_fract_y
_atom_site_fract_z
_atom_site_occupancy
Re1 0.0000 0.0000 0.0000 1
Ni1 0.8238 0.5000 0.6593 1
Sb1 0.2827 0.0000 0.5656 1
Sb2 0.5782 0.5000 0.1560 1
```

7.
This entry pairs a crystal structure of Re2NiSb with its theoretical powder XRD pattern. Radiation: λ = 1.5418 Å (Cu Kα). Structure: a PBE-relaxed structure.

Most intense lines, 10° ≤ 2θ ≤ 80°, in order of rising 2θ:
h k l  two_theta  intensity
2 0 0  20.1  25
2 0 1  30.3  15
1 1 -1  35.6  13
1 1 1  37.5  100
4 0 0  41.0  38
2 0 -2  41.1  39
3 1 -1  44.7  66
2 0 2  47.5  19
0 2 0  60.0  14
5 1 1  67.2  13
1 1 -3  67.4  14
2 2 -2  75.3  13

```
data_Re2NiSb
_space_group_name_H-M_alt 'C 1 2/m 1'
_space_group_IT_number 12
_cell_length_a 8.9380
_cell_length_b 3.0825
_cell_length_c 4.6687
_cell_angle_alpha 90.00
_cell_angle_beta 99.56
_cell_angle_gamma 90.00
loop_
_space_group_symop_operation_xyz
'x,y,z'
'-x,-y,-z'
'-x,y,-z'
'x,-y,z'
'x+1/2,y+1/2,z'
'-x+1/2,-y+1/2,-z'
'-x+1/2,y+1/2,-z'
'x+1/2,-y+1/2,z'
loop_
_atom_site_label
_atom_site_fract_x
_atom_site_fract_y
_atom_site_fract_z
_atom_site_occupancy
Re1 0.2339 0.0000 0.2087 1
Ni1 0.0000 0.5000 0.0000 1
Sb1 0.0000 0.0000 0.5000 1
```

8.
This entry pairs a crystal structure of Ti4ReNi with its theoretical powder XRD pattern. Radiation: λ = 1.5418 Å (Cu Kα). Structure: a PBE-relaxed structure.

Most intense lines, 10° ≤ 2θ ≤ 80°, in order of rising 2θ:
h k l  two_theta  intensity
0 0 2  18.8  28
1 0 0  28.7  9
1 0 1  30.3  25
1 0 2  34.5  13
1 0 3  40.7  100
1 1 0  41.1  50
1 1 2  45.5  12
1 0 5  57.0  8
0 0 6  58.5  8
2 0 0  59.5  16
1 1 6  74.0  15
2 1 3  74.6  31

```
data_Ti4ReNi
_space_group_name_H-M_alt 'P 4/m m m'
_space_group_IT_number 123
_space_group_name_Hall '-P 4 2'
_cell_length_a 3.1093
_cell_length_b 3.1093
_cell_length_c 9.4624
_cell_angle_alpha 90.00
_cell_angle_beta 90.00
_cell_angle_gamma 90.00
loop_
_atom_site_label
_atom_site_fract_x
_atom_site_fract_y
_atom_site_fract_z
_atom_site_occupancy
Ti1 0.0000 0.0000 0.1552 1
Ti2 0.5000 0.5000 0.3398 1
Re1 0.0000 0.0000 0.5000 1
Ni1 0.5000 0.5000 0.0000 1
```